For Li9Mn2Co5O16, a structure optimized by DFT (GGA+U) gives the theoretical powder diffractogram in this record (copper Kα).
Intensities are scaled so that the largest is 100.

Structure:
```
data_Li9Mn2Co5O16
_chemical_formula_sum 'Li9 Mn2 Co5 O16'
_symmetry_space_group_name_H-M 'P 1'
_symmetry_Int_Tables_number 1
_cell_length_a 4.9806
_cell_length_b 5.9990
_cell_length_c 10.1800
_cell_angle_alpha 104.58
_cell_angle_beta 100.41
_cell_angle_gamma 91.97
loop_
_symmetry_equiv_pos_as_xyz
'x,y,z'
loop_
_atom_site_label
_atom_site_fract_x
_atom_site_fract_y
_atom_site_fract_z
_atom_site_occupancy
Li1 0.0000 0.0000 0.0000 1
Li2 0.9996 0.4946 0.4920 1
Li3 0.0069 0.9878 0.4927 1
Li4 0.4965 0.2434 0.4933 1
Li5 0.4990 0.7401 0.9990 1
Li6 0.5003 0.2555 0.9997 1
Li7 0.5093 0.7510 0.4932 1
Li8 0.7531 0.6163 0.2451 1
Li9 0.9989 0.4896 0.9975 1
Mn1 0.2507 0.8694 0.7456 1
Mn2 0.7516 0.1241 0.2462 1
Co1 0.2484 0.3759 0.2466 1
Co2 0.2520 0.3707 0.7463 1
Co3 0.2544 0.8572 0.2448 1
Co4 0.7508 0.6174 0.7460 1
Co5 0.7523 0.1225 0.7462 1
O1 0.1113 0.1969 0.3595 1
O2 0.1121 0.6919 0.8623 1
O3 0.1135 0.1993 0.8619 1
O4 0.1444 0.7016 0.3635 1
O5 0.3559 0.5525 0.1330 1
O6 0.3904 0.0503 0.6308 1
O7 0.3901 0.5403 0.6297 1
O8 0.3935 0.0354 0.1299 1
O9 0.6069 0.9426 0.3574 1
O10 0.6112 0.4220 0.8614 1
O11 0.6138 0.3977 0.3519 1
O12 0.6168 0.9202 0.8604 1
O13 0.8844 0.2987 0.1328 1
O14 0.8858 0.8171 0.6287 1
O15 0.8936 0.3205 0.6339 1
O16 0.8987 0.8415 0.1425 1
```

The 6 most intense peaks (10 to 80 degrees two-theta), by angle:
- 2θ 18.4, I 100, (0 0 2)
- 2θ 34.7, I 18, (1 -2 0)
- 2θ 41.7, I 32, (-1 2 2)
- 2θ 44.0, I 27, (1 2 -4)
- 2θ 44.8, I 25, (2 0 2)
- 2θ 62.6, I 15, (2 0 -6)